Entry 1:
Computed powder diffractogram of NpTl2Cl4 for a wavelength of 1.5418 Å, from the PBE geometry in Alexandria.

The 8 most intense peaks (10° ≤ 2θ ≤ 80°), by angle:
Position (°2θ)  d [Å]  intensity
22.94  3.876  752
23.05  3.858  1000
31.92  2.803  289
32.67  2.741  471
40.37  2.234  493
40.56  2.224  213
47.11  1.929  226
52.83  1.733  282

Structural model:
abc: 5.482 5.482 16.295
angles: 90.00 90.00 90.00
Atoms (fractional coordinates):
Np (0.000, 0.000, 0.000)
Np (0.500, 0.500, 0.500)
Tl (0.000, 0.000, 0.356)
Tl (0.000, 0.000, 0.644)
Tl (0.500, 0.500, 0.144)
Tl (0.500, 0.500, 0.856)
Cl (0.000, 0.000, 0.170)
Cl (0.000, 0.000, 0.830)
Cl (0.000, 0.500, 0.000)
Cl (0.000, 0.500, 0.500)
Cl (0.500, 0.000, 0.000)
Cl (0.500, 0.000, 0.500)
Cl (0.500, 0.500, 0.330)
Cl (0.500, 0.500, 0.670)

Entry 2:
Computed powder diffractogram of NpZnCl6 for a wavelength of 1.5418 Å, from the PBE geometry in Alexandria.

The 8 most intense peaks (10° ≤ 2θ ≤ 80°), by angle:
Position (°2θ)  d [Å]  intensity
16.54  5.361  281
18.70  4.746  1000
25.64  3.474  368
31.45  2.844  331
37.92  2.373  192
41.39  2.182  422
43.78  2.068  198
48.53  1.876  213

Structural model:
abc: 6.982 6.982 6.982
angles: 55.45 55.45 55.45
Atoms (fractional coordinates):
Np (0.000, 0.000, 0.000)
Zn (0.500, 0.500, 0.500)
Cl (0.114, 0.743, 0.400)
Cl (0.257, 0.600, 0.886)
Cl (0.400, 0.114, 0.743)
Cl (0.600, 0.886, 0.257)
Cl (0.743, 0.400, 0.114)
Cl (0.886, 0.257, 0.600)

Entry 3:
Computed powder diffractogram of NpZn2Cl8 for a wavelength of 1.5418 Å, from the PBE geometry in Alexandria.

The 8 most intense peaks (10° ≤ 2θ ≤ 80°), by angle:
Position (°2θ)  d [Å]  intensity
12.40  7.139  1000
12.96  6.828  789
18.67  4.752  533
19.13  4.641  387
25.63  3.476  343
29.13  3.066  464
29.24  3.054  275
45.34  2.000  338

Structural model:
abc: 9.964 9.964 12.481
angles: 126.50 126.50 49.69
Atoms (fractional coordinates):
Np (0.002, 0.998, 0.750)
Np (0.998, 0.002, 0.250)
Zn (0.177, 0.640, 0.966)
Zn (0.360, 0.823, 0.534)
Zn (0.640, 0.177, 0.466)
Zn (0.823, 0.360, 0.034)
Cl (0.127, 0.183, 0.021)
Cl (0.143, 0.689, 0.785)
Cl (0.153, 0.710, 0.314)
Cl (0.183, 0.127, 0.521)
Cl (0.290, 0.847, 0.186)
Cl (0.311, 0.857, 0.715)
Cl (0.331, 0.347, 0.938)
Cl (0.347, 0.331, 0.438)
Cl (0.653, 0.669, 0.562)
Cl (0.669, 0.653, 0.062)
Cl (0.689, 0.143, 0.285)
Cl (0.710, 0.153, 0.814)
Cl (0.817, 0.873, 0.479)
Cl (0.847, 0.290, 0.686)
Cl (0.857, 0.311, 0.215)
Cl (0.873, 0.817, 0.979)